The following is a simulated PXRD pattern of U3Cu3Sb4. It was derived from a structure optimized by DFT (GGA-PBE), using a wavelength of 1.5418 Å.
Intensities are scaled so that the largest is 100.

Cell and atoms:
Cell: 8.3138 8.3138 8.3138 Å, 109.47 109.47 109.47°
Atoms (fractional coordinates):
U: 0.1250 0.8750 0.2500
U: 0.2500 0.1250 0.8750
U: 0.3750 0.6250 0.7500
U: 0.6250 0.7500 0.3750
U: 0.7500 0.3750 0.6250
U: 0.8750 0.2500 0.1250
Cu: 0.1250 0.7500 0.8750
Cu: 0.2500 0.6250 0.3750
Cu: 0.3750 0.2500 0.6250
Cu: 0.6250 0.3750 0.2500
Cu: 0.7500 0.8750 0.1250
Cu: 0.8750 0.1250 0.7500
Sb: 0.0000 0.1680 0.5000
Sb: 0.0000 0.6680 0.5000
Sb: 0.1680 0.5000 0.0000
Sb: 0.3320 0.3320 0.3320
Sb: 0.5000 0.0000 0.1680
Sb: 0.5000 0.0000 0.6680
Sb: 0.6680 0.5000 0.0000
Sb: 0.8320 0.8320 0.8320

The 10 most intense peaks (2θ from 5° to 70°), low angle first:
| 2θ (°) | intensity |
| --- | --- |
| 22.69 | 16 |
| 29.42 | 60 |
| 34.97 | 100 |
| 42.09 | 44 |
| 44.25 | 15 |
| 46.33 | 14 |
| 52.19 | 12 |
| 59.34 | 24 |
| 61.05 | 12 |
| 62.72 | 11 |

The following is a simulated PXRD pattern of SrCaHoIn. It was derived from a structure optimized by DFT (GGA-PBE), using a wavelength of 1.5418 Å.
Intensities are scaled so that the largest is 100.

Cell and atoms:
Cell: 5.7140 5.7140 5.7140 Å, 60.00 60.00 60.00°
Atoms (fractional coordinates):
Sr: 0.0000 0.0000 0.0000
Ca: 0.7500 0.7500 0.7500
Ho: 0.5000 0.5000 0.5000
In: 0.2500 0.2500 0.2500

The 10 most intense peaks (2θ from 5° to 70°), low angle first:
| 2θ (°) | intensity |
| --- | --- |
| 19.02 | 14 |
| 22.00 | 6 |
| 31.31 | 100 |
| 36.89 | 8 |
| 44.87 | 18 |
| 49.14 | 4 |
| 55.73 | 38 |
| 59.43 | 3 |
| 65.32 | 12 |
| 68.72 | 3 |

The following is a simulated PXRD pattern of LiRu2. It was derived from a structure optimized by DFT (GGA-PBE), using a wavelength of 1.5418 Å.
Intensities are scaled so that the largest is 100.

Cell and atoms:
Cell: 4.5784 4.5784 4.5784 Å, 145.23 132.74 59.99°
Atoms (fractional coordinates):
Li: 0.0000 0.0000 0.0000
Ru: 0.3257 0.3257 0.0000
Ru: 0.6743 0.6743 0.0000

The 10 most intense peaks (2θ from 5° to 70°), low angle first:
| 2θ (°) | intensity |
| --- | --- |
| 22.42 | 74 |
| 26.76 | 58 |
| 34.68 | 29 |
| 41.15 | 100 |
| 42.13 | 92 |
| 47.36 | 39 |
| 47.85 | 63 |
| 49.68 | 29 |
| 55.15 | 12 |
| 63.94 | 11 |

The following is a simulated PXRD pattern of LaPr2TmH. It was derived from a structure optimized by DFT (GGA-PBE), using a wavelength of 1.5418 Å.
Intensities are scaled so that the largest is 100.

Cell and atoms:
Cell: 5.1865 5.1865 5.0911 Å, 90.00 90.00 90.00°
Atoms (fractional coordinates):
La: 0.0000 0.0000 0.0000
Pr: 0.0000 0.5000 0.5000
Pr: 0.5000 0.0000 0.5000
Tm: 0.5000 0.5000 0.0000
H: 0.5000 0.5000 0.5000

The 9 most intense peaks (2θ from 5° to 70°), low angle first:
| 2θ (°) | intensity |
| --- | --- |
| 17.10 | 1 |
| 30.03 | 100 |
| 34.59 | 35 |
| 35.26 | 16 |
| 49.72 | 12 |
| 50.22 | 24 |
| 59.19 | 29 |
| 60.07 | 14 |
| 62.42 | 13 |

The following is a simulated PXRD pattern of BaCaTl5. It was derived from a structure optimized by DFT (GGA-PBE), using a wavelength of 1.5418 Å.
Intensities are scaled so that the largest is 100.

Cell and atoms:
Cell: 5.9997 5.9997 6.7578 Å, 90.00 90.00 90.00°
Atoms (fractional coordinates):
Ba: 0.0000 0.0000 0.0000
Ca: 0.5000 0.5000 0.5000
Tl: 0.0000 0.5000 0.2674
Tl: 0.0000 0.5000 0.7326
Tl: 0.5000 0.0000 0.2674
Tl: 0.5000 0.0000 0.7326
Tl: 0.5000 0.5000 0.0000

The 10 most intense peaks (2θ from 5° to 70°), low angle first:
| 2θ (°) | intensity |
| --- | --- |
| 20.94 | 22 |
| 24.78 | 23 |
| 29.78 | 73 |
| 33.92 | 100 |
| 40.20 | 8 |
| 42.62 | 28 |
| 50.68 | 7 |
| 55.55 | 50 |
| 61.86 | 9 |
| 63.16 | 15 |

The following is a simulated PXRD pattern of SrCd2F6. It was derived from a structure optimized by DFT (GGA-PBE), using a wavelength of 1.5418 Å.
Intensities are scaled so that the largest is 100.

Cell and atoms:
Cell: 5.9063 5.9063 5.1711 Å, 90.00 90.00 120.00°
Atoms (fractional coordinates):
Sr: 0.0000 0.0000 0.0000
Cd: 0.3333 0.6667 0.5000
Cd: 0.6667 0.3333 0.5000
F: 0.0000 0.3434 0.7283
F: 0.0000 0.6566 0.2717
F: 0.3434 0.0000 0.7283
F: 0.3434 0.3434 0.2717
F: 0.6566 0.0000 0.2717
F: 0.6566 0.6566 0.7283

The 10 most intense peaks (2θ from 5° to 70°), low angle first:
| 2θ (°) | intensity |
| --- | --- |
| 17.15 | 24 |
| 24.48 | 100 |
| 30.26 | 46 |
| 34.99 | 27 |
| 39.30 | 28 |
| 46.69 | 57 |
| 50.39 | 27 |
| 53.76 | 24 |
| 56.32 | 9 |
| 68.60 | 11 |

The following is a simulated PXRD pattern of LaDy. It was derived from a structure optimized by DFT (GGA-PBE), using a wavelength of 1.5418 Å.
Intensities are scaled so that the largest is 100.

Cell and atoms:
Cell: 7.2722 7.2722 7.2722 Å, 60.00 60.00 60.00°
Atoms (fractional coordinates):
La: 0.0000 0.0000 0.0000
La: 0.0000 0.0000 0.5000
La: 0.0000 0.5000 0.0000
La: 0.5000 0.0000 0.0000
Dy: 0.0000 0.5000 0.5000
Dy: 0.5000 0.0000 0.5000
Dy: 0.5000 0.5000 0.0000
Dy: 0.5000 0.5000 0.5000

The 7 most intense peaks (2θ from 5° to 70°), low angle first:
| 2θ (°) | intensity |
| --- | --- |
| 14.92 | 1 |
| 28.79 | 1 |
| 30.10 | 100 |
| 34.90 | 51 |
| 50.18 | 36 |
| 59.63 | 43 |
| 62.58 | 12 |

The following is a simulated PXRD pattern of Pa2SiTc3. It was derived from a structure optimized by DFT (GGA-PBE), using a wavelength of 1.5418 Å.
Intensities are scaled so that the largest is 100.

Cell and atoms:
Cell: 5.0542 5.0542 5.0542 Å, 67.93 67.93 67.93°
Atoms (fractional coordinates):
Pa: 0.1287 0.1287 0.1287
Pa: 0.8713 0.8713 0.8713
Si: 0.5000 0.5000 0.5000
Tc: 0.0000 0.5000 0.5000
Tc: 0.5000 0.0000 0.5000
Tc: 0.5000 0.5000 0.0000

The 10 most intense peaks (2θ from 5° to 70°), low angle first:
| 2θ (°) | intensity |
| --- | --- |
| 19.70 | 40 |
| 31.69 | 59 |
| 36.04 | 79 |
| 37.59 | 89 |
| 39.54 | 100 |
| 40.02 | 21 |
| 43.20 | 29 |
| 59.30 | 39 |
| 61.77 | 27 |
| 66.19 | 30 |

The following is a simulated PXRD pattern of Dy6Pb3C2. It was derived from a structure optimized by DFT (GGA-PBE), using a wavelength of 1.5418 Å.
Intensities are scaled so that the largest is 100.

Cell and atoms:
Cell: 13.0468 13.0468 13.0468 Å, 158.75 158.75 30.23°
Atoms (fractional coordinates):
Dy: 0.0843 0.5843 0.5000
Dy: 0.1937 0.1937 0.0000
Dy: 0.4157 0.9157 0.5000
Dy: 0.5843 0.0843 0.5000
Dy: 0.8063 0.8063 0.0000
Dy: 0.9157 0.4157 0.5000
Pb: 0.3214 0.3214 0.0000
Pb: 0.5000 0.5000 0.0000
Pb: 0.6786 0.6786 0.0000
C: 0.1034 0.1034 0.0000
C: 0.8966 0.8966 0.0000

The 10 most intense peaks (2θ from 5° to 70°), low angle first:
| 2θ (°) | intensity |
| --- | --- |
| 18.78 | 14 |
| 27.15 | 34 |
| 28.34 | 12 |
| 29.85 | 17 |
| 33.92 | 100 |
| 37.39 | 53 |
| 47.57 | 12 |
| 52.61 | 14 |
| 53.91 | 18 |
| 65.25 | 41 |

The following is a simulated PXRD pattern of Ga5Pd. It was derived from a structure optimized by DFT (GGA-PBE), using a wavelength of 1.5418 Å.
Intensities are scaled so that the largest is 100.

Cell and atoms:
Cell: 6.8449 6.8449 6.8449 Å, 123.53 123.53 83.98°
Atoms (fractional coordinates):
Ga: 0.0000 0.0000 0.0000
Ga: 0.0065 0.5065 0.7912
Ga: 0.2153 0.0065 0.5000
Ga: 0.2847 0.7847 0.7912
Ga: 0.4935 0.2847 0.5000
Ga: 0.5000 0.5000 0.0000
Ga: 0.5065 0.7153 0.5000
Ga: 0.7153 0.2153 0.2088
Ga: 0.7847 0.9935 0.5000
Ga: 0.9935 0.4935 0.2088
Pd: 0.2500 0.2500 0.0000
Pd: 0.7500 0.7500 0.0000

The 10 most intense peaks (2θ from 5° to 70°), low angle first:
| 2θ (°) | intensity |
| --- | --- |
| 17.43 | 18 |
| 19.38 | 19 |
| 27.55 | 17 |
| 32.13 | 85 |
| 39.35 | 24 |
| 40.57 | 86 |
| 40.98 | 79 |
| 44.23 | 100 |
| 45.34 | 49 |
| 68.72 | 38 |

The following is a simulated PXRD pattern of Pr2Sn3. It was derived from a structure optimized by DFT (GGA-PBE), using a wavelength of 1.5418 Å.
Intensities are scaled so that the largest is 100.

Cell and atoms:
Cell: 7.8384 7.8384 4.7130 Å, 90.00 90.00 90.00°
Atoms (fractional coordinates):
Pr: 0.1456 0.6958 0.0000
Pr: 0.3042 0.1456 0.0000
Pr: 0.6958 0.8544 0.0000
Pr: 0.8544 0.3042 0.0000
Sn: 0.0000 0.0000 0.5000
Sn: 0.1723 0.3991 0.5000
Sn: 0.3991 0.8277 0.5000
Sn: 0.5000 0.5000 0.0000
Sn: 0.6009 0.1723 0.5000
Sn: 0.8277 0.6009 0.5000

The 10 most intense peaks (2θ from 5° to 70°), low angle first:
| 2θ (°) | intensity |
| --- | --- |
| 29.65 | 4 |
| 31.81 | 100 |
| 36.24 | 32 |
| 38.19 | 17 |
| 51.86 | 5 |
| 52.19 | 9 |
| 53.67 | 21 |
| 62.43 | 19 |
| 65.06 | 13 |
| 66.48 | 8 |

The following is a simulated PXRD pattern of BaCa2In2. It was derived from a structure optimized by DFT (GGA-PBE), using a wavelength of 1.5418 Å.
Intensities are scaled so that the largest is 100.

Cell and atoms:
Cell: 9.6024 9.6024 3.6178 Å, 90.00 90.00 90.00°
Atoms (fractional coordinates):
Ba: 0.0000 0.0000 0.0000
Ba: 0.5000 0.5000 0.0000
Ca: 0.1273 0.3727 0.0000
Ca: 0.3727 0.8727 0.0000
Ca: 0.6273 0.1273 0.0000
Ca: 0.8727 0.6273 0.0000
In: 0.1696 0.6696 0.5000
In: 0.3304 0.1696 0.5000
In: 0.6696 0.8304 0.5000
In: 0.8304 0.3304 0.5000

The 10 most intense peaks (2θ from 5° to 70°), low angle first:
| 2θ (°) | intensity |
| --- | --- |
| 20.68 | 34 |
| 26.25 | 31 |
| 27.94 | 28 |
| 29.41 | 97 |
| 30.95 | 66 |
| 32.36 | 100 |
| 46.37 | 23 |
| 47.38 | 32 |
| 57.62 | 28 |
| 59.48 | 25 |

The following is a simulated PXRD pattern of CsIn4Sn. It was derived from a structure optimized by DFT (GGA-PBE), using a wavelength of 1.5418 Å.
Intensities are scaled so that the largest is 100.

Cell and atoms:
Cell: 5.2890 5.2890 8.7414 Å, 90.00 90.00 120.00°
Atoms (fractional coordinates):
Cs: 0.0000 0.0000 0.0000
In: 0.3333 0.6667 0.3179
In: 0.3333 0.6667 0.6821
In: 0.6667 0.3333 0.3179
In: 0.6667 0.3333 0.6821
Sn: 0.0000 0.0000 0.5000

The 10 most intense peaks (2θ from 5° to 70°), low angle first:
| 2θ (°) | intensity |
| --- | --- |
| 10.12 | 36 |
| 21.91 | 13 |
| 28.22 | 100 |
| 30.68 | 17 |
| 33.90 | 97 |
| 36.55 | 14 |
| 44.67 | 28 |
| 46.37 | 32 |
| 57.23 | 27 |
| 60.65 | 18 |

The following is a simulated PXRD pattern of Pm3Ho5Tl2. It was derived from a structure optimized by DFT (GGA-PBE), using a wavelength of 1.5418 Å.
Intensities are scaled so that the largest is 100.

Cell and atoms:
Cell: 10.5768 10.5768 10.5768 Å, 104.80 86.03 144.47°
Atoms (fractional coordinates):
Pm: 0.2373 0.1189 0.3562
Pm: 0.2500 0.2500 0.0000
Pm: 0.2627 0.6189 0.8816
Pm: 0.7373 0.3811 0.1184
Pm: 0.7500 0.7500 0.0000
Pm: 0.7627 0.8811 0.6438
Ho: 0.1636 0.3810 0.5447
Ho: 0.2500 0.5037 0.2537
Ho: 0.2500 0.7500 0.5000
Ho: 0.2500 0.9963 0.7463
Ho: 0.3364 0.8810 0.2174
Ho: 0.6636 0.1190 0.7826
Ho: 0.7500 0.0037 0.2537
Ho: 0.7500 0.2500 0.5000
Ho: 0.7500 0.4963 0.7463
Ho: 0.8364 0.6190 0.4553
Tl: 0.1461 0.8640 0.0101
Tl: 0.3539 0.3640 0.7178
Tl: 0.6461 0.6360 0.2822
Tl: 0.8539 0.1360 0.9899

The 10 most intense peaks (2θ from 5° to 70°), low angle first:
| 2θ (°) | intensity |
| --- | --- |
| 20.29 | 17 |
| 26.08 | 21 |
| 30.01 | 100 |
| 35.04 | 44 |
| 36.26 | 34 |
| 39.49 | 46 |
| 53.81 | 26 |
| 57.09 | 16 |
| 65.84 | 21 |
| 67.11 | 15 |